Diffraction record for Rb2PuCoO6. The powder X-ray diffraction pattern is theoretical, not measured: it uses a DFT-relaxed cell (GGA+U, Alexandria) and λ = 1.5418 Å (Cu Kα).

Peak list (12 most intense, 2θ = 10–90°, low angle first)
Position (°2θ)	intensity
16.26	100
23.41	77
28.36	84
37.09	37
37.76	42
44.71	14
47.34	24
47.88	32
50.20	16
56.59	35
58.66	15
71.90	15

Structural model:
```
data_Rb2PuCoO6
_symmetry_space_group_name_H-M 'P -3 m 1'
_symmetry_Int_Tables_number 164
_symmetry_space_group_name_Hall '-P 3 2"'
_cell_length_a 6.2951
_cell_length_b 6.2951
_cell_length_c 5.2982
_cell_angle_alpha 90.00
_cell_angle_beta 90.00
_cell_angle_gamma 120.00
loop_
_atom_site_label
_atom_site_fract_x
_atom_site_fract_y
_atom_site_fract_z
Rb1 0.3333 0.6667 0.1619
Pu1 0.0000 0.0000 0.5000
Co1 0.0000 0.0000 0.0000
O1 0.1361 0.2721 0.7616
```